[1]
# Tl3I2O8
Calculated powder XRD pattern, copper Kα. Input: a PBE-relaxed structure.
Kinematic intensities with the Lorentz-polarization factor, no thermal factor.

Largest 12 diffraction maxima, by intensity, 2θ from 10° to 90°:
2θ (°)  I/Imax  hkl
25.82  100  0 1 5
27.62  93  1 1 0
38.17  41  2 0 5
47.76  37  1 2 5
44.38  27  1 0 10
60.87  22  2 1 10
70.74  20  0 4 5
48.85  20  3 0 0
63.63  19  3 1 5
57.04  16  2 2 0
53.08  14  0 2 10
75.00  11  1 3 10

Cell and atoms:
Cell lengths 6.4583, 6.4583, 21.9257 Å; angles 90.00, 90.00, 120.00 degrees
Space group R-3m (No. 166, hexagonal axes)
Unique sites:
1 Tl 0.0000 0.0000 0.0000
2 Tl 0.0000 0.0000 0.1968
3 I 0.0000 0.0000 0.4024
4 O 0.0000 0.0000 0.3181
5 O 0.0241 0.5120 0.2351


[2]
# NaBiRuO4
Calculated powder XRD pattern, copper Kα. Input: a PBE-relaxed structure.
Kinematic intensities with the Lorentz-polarization factor, no thermal factor.

Largest 12 diffraction maxima, by intensity, 2θ from 10° to 90°:
2θ (°)  I/Imax  hkl
16.65  100  1 0 1
30.97  62  1 2 1
38.21  42  2 2 0
15.99  37  0 1 1
32.31  36  0 2 2
55.32  34  2 2 4
33.67  30  2 0 2
31.83  29  1 0 3
38.45  20  0 0 4
41.50  20  1 2 3
50.93  17  3 2 1
32.04  15  2 1 1

Cell and atoms:
Cell lengths 6.470, 6.874, 9.365 Å; angles 90.00, 90.00, 90.00 degrees
Space group Imma (No. 74)
Unique sites:
1 Na 0.000 0.250 0.125
2 Bi 0.000 0.000 0.500
3 Ru 0.250 0.250 0.750
4 O 0.000 0.060 0.744
5 O 0.238 0.250 0.532


[3]
# Pr3NdI8
Calculated powder XRD pattern, copper Kα. Input: a PBE-relaxed structure.
Kinematic intensities with the Lorentz-polarization factor, no thermal factor.

Largest 12 diffraction maxima, by intensity, 2θ from 10° to 90°:
2θ (°)  I/Imax  hkl
28.21  100  4 0 0
38.07  45  2 2 2
10.77  39  0 0 1
42.47  33  0 4 0
24.41  19  4 0 -1
51.76  18  4 4 0
62.83  14  0 4 4
30.27  11  2 2 1
44.11  11  0 0 4
25.21  10  2 2 0
58.27  8  4 4 -4
74.73  8  2 6 2

Cell and atoms:
Cell lengths 14.732, 8.524, 9.583 Å; angles 90.00, 120.99, 90.00 degrees
Space group C2/m (No. 12)
Unique sites:
1 Pr 0.000 0.000 0.000
2 Pr 0.250 0.250 0.000
3 Nd 0.000 0.500 0.000
4 I 0.001 0.252 0.251
5 I 0.249 0.500 0.748
6 I 0.250 0.000 0.749


What did the first record say?
# Tl3I2O8
Calculated powder XRD pattern, copper Kα. Input: a PBE-relaxed structure.
Kinematic intensities with the Lorentz-polarization factor, no thermal factor.

Largest 12 diffraction maxima, by intensity, 2θ from 10° to 90°:
2θ (°)  I/Imax  hkl
25.82  100  0 1 5
27.62  93  1 1 0
38.17  41  2 0 5
47.76  37  1 2 5
44.38  27  1 0 10
60.87  22  2 1 10
70.74  20  0 4 5
48.85  20  3 0 0
63.63  19  3 1 5
57.04  16  2 2 0
53.08  14  0 2 10
75.00  11  1 3 10

Cell and atoms:
Cell lengths 6.4583, 6.4583, 21.9257 Å; angles 90.00, 90.00, 120.00 degrees
Space group R-3m (No. 166, hexagonal axes)
Unique sites:
1 Tl 0.0000 0.0000 0.0000
2 Tl 0.0000 0.0000 0.1968
3 I 0.0000 0.0000 0.4024
4 O 0.0000 0.0000 0.3181
5 O 0.0241 0.5120 0.2351